No. 1
Diffraction record for NdSnBi2. The X-ray powder pattern is simulated, not measured: it uses a crystal structure in Alexandria, relaxed with GGA-PBE and Cu Kα (weighted mean of Kα1 and Kα2).
Lines closer than 0.1° are merged.

Main lines, low angle first (2θ = 10–80°):
d_spacing, 2θ/deg, I (rel.), (hkl)
2.928, 30.53, 100, 0 2 2
2.716, 32.97, 92, 2 2 0
2.705, 33.11, 23, 0 3 1
2.629, 34.11, 85, 2 0 2
1.704, 53.79, 21, 2 3 3
1.667, 55.07, 26, 2 4 2
1.607, 57.34, 25, 2 2 4
1.501, 61.80, 28, 4 2 2

Atomic structure:
Cell: 6.994 8.628 7.972 Å, 90.00 90.00 90.00°
Space group Imma (No. 74)
Asymmetric unit:
Nd  0.000  0.250  0.052 [4 per cell]
Sn  0.000  0.250  0.476 [4 per cell]
Bi  0.250  0.035  0.750 [8 per cell]

=====

No. 2
Diffraction record for K3Ca2I7. The X-ray powder pattern is simulated, not measured: it uses a crystal structure in Alexandria, relaxed with GGA-PBE and Cu Kα (weighted mean of Kα1 and Kα2).
Lines closer than 0.1° are merged.

Main lines, low angle first (2θ = 10–80°):
d_spacing, 2θ/deg, I (rel.), (hkl)
6.084, 14.56, 22, 0 0 1
3.555, 25.05, 100, 1 5 1
3.094, 28.86, 52, 2 0 0
3.050, 29.28, 26, 0 0 2
2.188, 41.27, 16, 2 10 0
2.172, 41.58, 34, 2 0 2
1.861, 48.94, 16, 3 5 1
1.778, 51.40, 16, 2 10 2

Atomic structure:
Cell: 6.178 30.985 6.100 Å, 90.00 90.00 90.00°
Space group Cmmm (No. 65)
Asymmetric unit:
K  0.000  0.000  0.000 [2 per cell]
K  0.000  0.171  0.000 [4 per cell]
Ca  0.000  0.398  0.500 [4 per cell]
I  0.000  0.095  0.500 [4 per cell]
I  0.000  0.300  0.500 [4 per cell]
I  0.000  0.404  0.000 [4 per cell]
I  0.000  0.500  0.500 [2 per cell]

=====

No. 3
Diffraction record for Tl17In11Bi. The X-ray powder pattern is simulated, not measured: it uses a crystal structure in Alexandria, relaxed with GGA-PBE and Cu Kα (weighted mean of Kα1 and Kα2).
Lines closer than 0.1° are merged.

Main lines, low angle first (2θ = 10–80°):
d_spacing, 2θ/deg, I (rel.), (hkl)
2.870, 31.16, 22, 0 0 3
2.859, 31.28, 39, 1 3 2
2.850, 31.39, 41, 1 3 -3
2.838, 31.53, 84, 3 3 0
2.827, 31.65, 100, 3 3 -3
2.819, 31.75, 83, 0 6 0
2.551, 35.18, 30, 3 5 -2
1.635, 56.26, 22, 1 9 -3

Atomic structure:
Cell: 11.955 16.926 10.443 Å, 90.00 124.46 90.00°
Space group Cm (No. 8)
Asymmetric unit:
Tl  0.000  0.000  0.000 [2 per cell]
Tl  0.004  0.000  0.357 [2 per cell]
Tl  0.065  0.339  0.402 [4 per cell]
Tl  0.139  0.500  0.639 [2 per cell]
Tl  0.159  0.160  0.606 [4 per cell]
Tl  0.177  0.180  0.998 [4 per cell]
Tl  0.185  0.500  0.282 [2 per cell]
Tl  0.305  0.302  0.318 [4 per cell]
Tl  0.403  0.000  0.722 [2 per cell]
Tl  0.462  0.144  0.002 [4 per cell]
Tl  0.480  0.200  0.680 [4 per cell]
In  0.005  0.183  0.186 [4 per cell]
In  0.185  0.000  0.811 [2 per cell]
In  0.221  0.410  0.997 [4 per cell]
In  0.277  0.094  0.375 [4 per cell]
In  0.316  0.316  0.815 [4 per cell]
In  0.405  0.407  0.632 [4 per cell]
Bi  0.364  0.000  0.176 [2 per cell]

=====

No. 4
Diffraction record for Sc4BeTc. The X-ray powder pattern is simulated, not measured: it uses a crystal structure in Alexandria, relaxed with GGA-PBE and Cu Kα (weighted mean of Kα1 and Kα2).
Lines closer than 0.1° are merged.

Main lines, low angle first (2θ = 10–80°):
d_spacing, 2θ/deg, I (rel.), (hkl)
5.598, 15.83, 22, 0 0 2
3.250, 27.44, 15, 1 0 0
2.811, 31.84, 21, 1 0 2
2.451, 36.67, 100, 1 0 3
2.298, 39.20, 51, 1 1 0
1.844, 49.43, 21, 1 0 5
1.625, 56.64, 16, 2 0 0
1.354, 69.38, 27, 2 1 3

Atomic structure:
Cell: 3.250 3.250 11.195 Å, 90.00 90.00 90.00°
Space group P4/mmm (No. 123)
Asymmetric unit:
Sc  0.000  0.000  0.135 [2 per cell]
Sc  0.500  0.500  0.363 [2 per cell]
Be  0.500  0.500  0.000 [1 per cell]
Tc  0.000  0.000  0.500 [1 per cell]